This entry pairs a crystal structure of CsCuSi2 with its simulated powder XRD pattern. Radiation: Cu Kα. Structure: a crystal structure in Alexandria, relaxed with PBE.
Neutral-atom scattering factors, no anomalous dispersion.

Crystal structure
```
data_CsCuSi2
_chemical_formula_sum 'Cs3 Cu3 Si6'
_cell_length_a 4.0123
_cell_length_b 4.0123
_cell_length_c 21.4657
_cell_angle_alpha 90.00
_cell_angle_beta 90.00
_cell_angle_gamma 120.00
_space_group_name_H-M_alt 'P 1'
_space_group_IT_number 1
loop_
_space_group_symop_operation_xyz
'x,y,z'
loop_
_atom_site_label
_atom_site_type_symbol
_atom_site_fract_x
_atom_site_fract_y
_atom_site_fract_z
Cs1 Cs 0.0000 0.0000 0.0000
Cs2 Cs 0.3333 0.6667 0.6667
Cs3 Cs 0.6667 0.3333 0.3333
Cu1 Cu 0.0000 0.0000 0.5000
Cu2 Cu 0.3333 0.6667 0.1667
Cu3 Cu 0.6667 0.3333 0.8333
Si1 Si 0.0000 0.0000 0.2001
Si2 Si 0.0000 0.0000 0.7999
Si3 Si 0.3333 0.6667 0.4666
Si4 Si 0.3333 0.6667 0.8667
Si5 Si 0.6667 0.3333 0.1333
Si6 Si 0.6667 0.3333 0.5334
```

Most intense lines, 10° ≤ 2θ ≤ 90°, by angle:
3.578 Å, 2θ 24.89, I = 57, (0 0 6)
3.306 Å, 2θ 26.97, I = 68, (0 1 2)
2.917 Å, 2θ 30.65, I = 100, (1 0 4)
2.006 Å, 2θ 45.20, I = 46, (1 1 0)
1.826 Å, 2θ 49.94, I = 34, (1 0 10)
1.750 Å, 2θ 52.28, I = 43, (1 1 6)